Calculated PXRD pattern of Pr3AgHg3 for Cu Kα (weighted mean of Kα1 and Kα2), from a crystal structure in Alexandria, relaxed with GGA-PBE.
Kinematic intensities with the Lorentz-polarization factor, no thermal factor.

Largest 10 diffraction maxima, low angle first, 10° ≤ 2θ ≤ 90°:
2θ (°), I (rel.)
26.8, 32
27.0, 24
29.1, 20
29.2, 27
29.6, 46
30.0, 46
34.1, 100
34.5, 54
35.0, 47
38.4, 85

a b c (Å): 10.5468 10.2646 7.4471
angles (deg): 90.00 90.91 90.00
Space group C2/m (No. 12)
Inequivalent atoms, fractional coordinates:
1 Pr 0.0769 0.0000 0.2623 (multiplicity 4)
2 Pr 0.2460 0.1930 0.7479 (multiplicity 8)
3 Ag 0.1411 0.5000 0.5504 (multiplicity 4)
4 Hg 0.0000 0.2421 0.0000 (multiplicity 4)
5 Hg 0.0000 0.2561 0.5000 (multiplicity 4)
6 Hg 0.1490 0.5000 0.9341 (multiplicity 4)



Calculated PXRD pattern of Y4Er2Tm for Cu Kα (weighted mean of Kα1 and Kα2), from a crystal structure in Alexandria, relaxed with GGA-PBE.
Kinematic intensities with the Lorentz-polarization factor, no thermal factor.

Largest 10 diffraction maxima, low angle first, 10° ≤ 2θ ≤ 90°:
2θ (°), I (rel.)
12.2, 23
25.9, 21
30.1, 35
31.4, 47
31.7, 100
32.9, 45
33.1, 40
48.3, 17
58.0, 21
61.9, 29

a b c (Å): 16.6593 3.5391 8.6753
angles (deg): 90.00 119.70 90.00
Space group C2/m (No. 12)
Inequivalent atoms, fractional coordinates:
1 Y 0.1395 0.0000 0.3331 (multiplicity 4)
2 Y 0.2035 0.0000 0.7933 (multiplicity 4)
3 Er 0.0700 0.5000 0.9297 (multiplicity 4)
4 Tm 0.0000 0.5000 0.5000 (multiplicity 2)



Calculated PXRD pattern of BaLi6MgHg for Cu Kα (weighted mean of Kα1 and Kα2), from a crystal structure in Alexandria, relaxed with GGA-PBE.
Kinematic intensities with the Lorentz-polarization factor, no thermal factor.

Largest 10 diffraction maxima, low angle first, 10° ≤ 2θ ≤ 90°:
2θ (°), I (rel.)
11.1, 21
13.9, 100
22.2, 75
24.2, 23
29.9, 60
33.1, 32
37.4, 15
37.7, 19
41.5, 19
46.3, 16

a b c (Å): 7.3501 10.2994 12.6760
angles (deg): 90.00 90.00 90.00
Space group Imma (No. 74)
Inequivalent atoms, fractional coordinates:
1 Ba 0.0000 0.2500 0.1856 (multiplicity 4)
2 Li 0.0000 0.2500 0.4976 (multiplicity 4)
3 Li 0.0000 0.2500 0.9213 (multiplicity 4)
4 Li 0.1903 0.0222 0.6169 (multiplicity 16)
5 Mg 0.2500 0.2500 0.7500 (multiplicity 4)
6 Hg 0.0000 0.0000 0.0000 (multiplicity 4)



Calculated PXRD pattern of Ba12Na6Sr for Cu Kα (weighted mean of Kα1 and Kα2), from a crystal structure in Alexandria, relaxed with GGA-PBE.
Kinematic intensities with the Lorentz-polarization factor, no thermal factor.

Largest 10 diffraction maxima, low angle first, 10° ≤ 2θ ≤ 90°:
2θ (°), I (rel.)
19.4, 22
21.7, 45
23.8, 92
25.7, 100
27.5, 42
40.6, 47
43.0, 49
49.7, 31
51.8, 19
61.6, 19

a b c (Å): 12.9599 12.9599 12.9599
angles (deg): 90.00 90.00 90.00
Space group Im-3 (No. 204)
Inequivalent atoms, fractional coordinates:
1 Ba 0.0000 0.2790 0.1936 (multiplicity 24)
2 Na 0.0000 0.1234 0.5000 (multiplicity 12)
3 Sr 0.0000 0.0000 0.0000 (multiplicity 2)



Copy entry 2 word for word.
Calculated PXRD pattern of Y4Er2Tm for Cu Kα (weighted mean of Kα1 and Kα2), from a crystal structure in Alexandria, relaxed with GGA-PBE.
Kinematic intensities with the Lorentz-polarization factor, no thermal factor.

Largest 10 diffraction maxima, low angle first, 10° ≤ 2θ ≤ 90°:
2θ (°), I (rel.)
12.2, 23
25.9, 21
30.1, 35
31.4, 47
31.7, 100
32.9, 45
33.1, 40
48.3, 17
58.0, 21
61.9, 29

a b c (Å): 16.6593 3.5391 8.6753
angles (deg): 90.00 119.70 90.00
Space group C2/m (No. 12)
Inequivalent atoms, fractional coordinates:
1 Y 0.1395 0.0000 0.3331 (multiplicity 4)
2 Y 0.2035 0.0000 0.7933 (multiplicity 4)
3 Er 0.0700 0.5000 0.9297 (multiplicity 4)
4 Tm 0.0000 0.5000 0.5000 (multiplicity 2)